# NaBi5O8
Theoretical PXRD pattern, Cu Kα. Input: a crystal structure in the Materials Project, relaxed with GGA-PBE.
No peak broadening, texture or thermal motion is included.

Crystal structure
```
data_NaBi5O8
_symmetry_space_group_name_H-M 'P 1 c 1'
_symmetry_Int_Tables_number 7
_cell_length_a 7.9105
_cell_length_b 16.4265
_cell_length_c 10.9240
_cell_angle_alpha 90.00
_cell_angle_beta 130.47
_cell_angle_gamma 90.00
loop_
_symmetry_equiv_pos_as_xyz
'x,y,z'
'x,-y,z+1/2'
loop_
_atom_site_label
_atom_site_type_symbol
_atom_site_fract_x
_atom_site_fract_y
_atom_site_fract_z
Na1 Na 0.0000 0.0159 0.0000
Na2 Na 0.4773 0.4541 0.7732
Bi1 Bi 0.0916 0.1370 0.3442
Bi2 Bi 0.1852 0.2286 0.6832
Bi3 Bi 0.2545 0.2957 0.0206
Bi4 Bi 0.3184 0.3538 0.3727
Bi5 Bi 0.3546 0.0557 0.9442
Bi6 Bi 0.5430 0.1523 0.3300
Bi7 Bi 0.6550 0.2193 0.7012
Bi8 Bi 0.7166 0.2921 0.0259
Bi9 Bi 0.7820 0.3618 0.3823
Bi10 Bi 0.8247 0.4582 0.6915
O1 O 0.0388 0.0043 0.3011
O2 O 0.0596 0.1197 0.5240
O3 O 0.1657 0.1735 0.8617
O4 O 0.2391 0.2227 0.1930
O5 O 0.3050 0.2568 0.5268
O6 O 0.3912 0.0539 0.1569
O7 O 0.3929 0.3414 0.8827
O8 O 0.4301 0.1035 0.4674
O9 O 0.4326 0.3929 0.2283
O10 O 0.4728 0.4543 0.5436
O11 O 0.5299 0.1860 0.8436
O12 O 0.5885 0.2452 0.1812
O13 O 0.6520 0.2990 0.5247
O14 O 0.7523 0.3292 0.8484
O15 O 0.8267 0.4781 0.4981
O16 O 0.8386 0.4110 0.2227
```

The 12 most intense peaks (2θ from 10° to 80°), low angle first:
d 8.213, 2θ 10.77, I = 100, (0 2 0)
d 5.654, 2θ 15.67, I = 61, (1 1 0)
d 3.682, 2θ 24.17, I = 59, (0 4 1)
d 3.374, 2θ 26.42, I = 80, (2 2 -1)
d 3.357, 2θ 26.55, I = 61, (2 1 -3)
d 3.310, 2θ 26.94, I = 55, (0 3 2)
d 3.165, 2θ 28.20, I = 61, (2 2 -3)
d 3.055, 2θ 29.23, I = 91, (0 5 1)
d 2.921, 2θ 30.61, I = 62, (0 4 2)
d 2.825, 2θ 31.67, I = 42, (2 2 0)
d 2.732, 2θ 32.78, I = 80, (0 1 3)
d 2.016, 2θ 44.97, I = 54, (2 7 -2)

# IrN2
Theoretical PXRD pattern, Cu Kα. Input: a crystal structure in the Materials Project, relaxed with GGA-PBE.
No peak broadening, texture or thermal motion is included.

Crystal structure
```
data_IrN2
_symmetry_space_group_name_H-M 'P -6 m 2'
_symmetry_Int_Tables_number 187
_symmetry_space_group_name_Hall 'P -6 2'
_cell_length_a 3.0932
_cell_length_b 3.0932
_cell_length_c 3.7670
_cell_angle_alpha 90.00
_cell_angle_beta 90.00
_cell_angle_gamma 120.00
loop_
_atom_site_label
_atom_site_type_symbol
_atom_site_fract_x
_atom_site_fract_y
_atom_site_fract_z
Ir1 Ir 0.0000 0.0000 0.0000
N1 N 0.3333 0.6667 0.3326
```

The 10 most intense peaks (2θ from 10° to 80°), low angle first:
d 3.767, 2θ 23.62, I = 56, (0 0 1)
d 2.679, 2θ 33.45, I = 73, (1 0 0)
d 2.183, 2θ 41.36, I = 100, (1 0 1)
d 1.884, 2θ 48.32, I = 9, (0 0 2)
d 1.547, 2θ 59.80, I = 20, (1 1 0)
d 1.541, 2θ 60.05, I = 33, (1 0 2)
d 1.431, 2θ 65.21, I = 22, (1 1 1)
d 1.339, 2θ 70.28, I = 9, (2 0 0)
d 1.262, 2θ 75.30, I = 17, (2 0 1)
d 1.256, 2θ 75.75, I = 3, (0 0 3)

# Ga2Se3
Theoretical PXRD pattern, Cu Kα. Input: a crystal structure in the Materials Project, relaxed with GGA-PBE.
No peak broadening, texture or thermal motion is included.

Crystal structure
```
data_Ga2Se3
_symmetry_space_group_name_H-M 'C 1 c 1'
_symmetry_Int_Tables_number 9
_cell_length_a 14.0480
_cell_length_b 7.1134
_cell_length_c 10.3866
_cell_angle_alpha 90.00
_cell_angle_beta 132.52
_cell_angle_gamma 90.00
loop_
_symmetry_equiv_pos_as_xyz
'x,y,z'
'x,-y,z+1/2'
'x+1/2,y+1/2,z'
'x+1/2,-y+1/2,z+1/2'
loop_
_atom_site_label
_atom_site_type_symbol
_atom_site_fract_x
_atom_site_fract_y
_atom_site_fract_z
Ga1 Ga 0.0000 0.0144 0.0000
Ga2 Ga 0.1109 0.4119 0.3957
Se1 Se 0.1572 0.2083 0.6456
Se2 Se 0.3791 0.3719 0.2081
Se3 Se 0.4075 0.3471 0.6130
```

The 12 most intense peaks (2θ from 10° to 80°), low angle first:
d 5.863, 2θ 15.11, I = 100, (1 1 0)
d 5.176, 2θ 17.13, I = 20, (2 0 0)
d 3.977, 2θ 22.35, I = 34, (1 1 -2)
d 3.790, 2θ 23.47, I = 69, (3 1 -1)
d 3.226, 2θ 27.66, I = 15, (0 2 1)
d 3.104, 2θ 28.76, I = 39, (3 1 -3)
d 2.588, 2θ 34.66, I = 22, (4 0 0)
d 2.443, 2θ 36.79, I = 23, (2 2 -3)
d 2.094, 2θ 43.20, I = 16, (3 3 -2)
d 2.068, 2θ 43.78, I = 14, (1 1 3)
d 1.955, 2θ 46.45, I = 25, (6 2 -3)
d 1.681, 2θ 54.58, I = 19, (4 0 2)